Computed powder XRD pattern
Compound: LiSc2US4
Radiation: Cu Kα (λ = 1.5418 Å)
Structure: a cell relaxed with GGA-PBE

Structure:
```
LiSc2US4
1.0
6.5060 0.0000 0.0000
0.0000 3.7151 0.0000
-2.1150 0.0000 6.1884
Li Sc U S
1 2 1 4
Cartesian
0.0000 0.0000 0.0000 Li
-1.0575 1.8575 3.0942 Sc
2.1955 0.0000 3.0942 Sc
3.2530 1.8575 0.0000 U
-0.0168 0.0000 4.5704 S
1.0640 1.8575 1.5959 S
3.3270 1.8575 4.5924 S
4.4078 0.0000 1.6180 S
```

Peak list (8 most intense, 2θ from 5° to 70°, by angle)
index, Position (°2θ), I (rel.)
1 0 0, 14.4, 74.6
1 0 -1, 16.7, 42.6
1 0 1, 23.4, 19.7
0 1 1, 28.0, 36.7
1 1 1, 33.8, 100.0
2 1 -1, 37.1, 19.8
1 1 -3, 48.4, 23.1
3 1 -1, 48.6, 22.8

Computed powder XRD pattern
Compound: LiScUS3
Radiation: Cu Kα (λ = 1.5418 Å)
Structure: a cell relaxed with GGA-PBE

Structure:
```
LiScUS3
1.0
7.7644 0.0000 0.0000
0.0000 3.6669 0.0000
-2.0959 0.0000 7.9958
Li Sc U S
2 2 2 6
Cartesian
0.5460 0.9167 0.6730 Li
5.1225 2.7501 7.3228 Li
1.8845 2.7501 2.7616 Sc
3.7840 0.9167 5.2342 Sc
-0.0624 0.9167 5.7146 U
5.7309 2.7501 2.2812 U
0.0235 0.9167 2.9228 S
-0.3048 2.7501 7.9562 S
1.9926 2.7501 5.3660 S
3.6759 0.9167 2.6298 S
5.9733 0.9167 0.0397 S
5.6450 2.7501 5.0731 S
```

Peak list (8 most intense, 2θ from 5° to 70°, by angle)
index, Position (°2θ), I (rel.)
1 0 -1, 14.0, 100.0
1 0 1, 18.1, 56.7
0 0 2, 22.2, 56.7
0 1 1, 26.7, 67.1
1 1 -2, 33.3, 48.1
2 1 -1, 34.0, 78.8
2 1 0, 34.2, 60.1
2 1 -3, 43.9, 39.6